Calculated powder X-ray diffraction pattern
Compound: Li2PuGa4
Radiation: Cu Kα
Structure: a crystal structure in Alexandria, relaxed with PBE
Lines closer than 0.1° are merged.

Largest 10 diffraction maxima, low angle first, 2θ = 5–70°:
(0 0 2), 8.8 deg, I 100; (0 1 1), 21.1 deg, I 17; (0 1 5), 30.4 deg, I 29; (1 0 3), 33.6 deg, I 22; (0 1 7), 37.5 deg, I 30; (1 0 5), 38.1 deg, I 14; (1 1 2), 38.4 deg, I 31; (1 1 4), 41.5 deg, I 13; (0 2 0), 42.0 deg, I 13; (1 1 10), 59.7 deg, I 12

Structure:
a = 2.9093 Å, b = 4.3010 Å, c = 20.1960 Å
α = 90.00°, β = 90.00°, γ = 90.00°
Space group Immm (No. 71)
Asymmetric unit:
Li1 0.0000 0.0000 0.2086 x4
Pu1 0.0000 0.5000 0.0000 x2
Ga1 0.0000 0.0000 0.3452 x4
Ga2 0.0000 0.5000 0.4171 x4